Calculated XRD peak list of Li2MgCo3O8 for Cu Kα (λ = 1.5418 Å), from a GGA+U-relaxed structure.

Crystal structure
abc: 5.6731 5.6731 5.9024
angles: 118.10 118.10 60.69
Sites, in units of the cell vectors:
Li 0.0000 0.5000 0.0000
Li 0.5000 0.0000 0.0000
Mg 0.0000 0.0000 0.5000
Co 0.0000 0.5000 0.5000
Co 0.5000 0.0000 0.5000
Co 0.5000 0.5000 0.5000
O 0.2414 0.2414 0.7131
O 0.2484 0.7120 0.7021
O 0.2642 0.2642 0.2977
O 0.2880 0.7516 0.2979
O 0.7120 0.2484 0.7021
O 0.7358 0.7358 0.7023
O 0.7516 0.2880 0.2979
O 0.7586 0.7586 0.2869

Most intense lines, 10 to 90 degrees two-theta, in order of rising 2θ:
Position (°2θ)  I (rel.)
17.9  100
18.9  6
21.6  6
36.9  19
37.2  9
44.1  53
47.8  5
57.4  10
62.5  9
65.9  9

Calculated XRD peak list of FeAs2PbO8 for Cu Kα (λ = 1.5418 Å), from a GGA+U-relaxed structure.

Crystal structure
abc: 4.9472 8.4695 16.0967
angles: 90.00 104.61 90.00
Sites, in units of the cell vectors:
Fe 0.1926 0.0490 0.3535
Fe 0.1926 0.4510 0.8535
Fe 0.8074 0.5490 0.1465
Fe 0.8074 0.9510 0.6465
As 0.2042 0.6896 0.0188
As 0.2042 0.8104 0.5188
As 0.4285 0.7326 0.2668
As 0.4285 0.7674 0.7668
As 0.5715 0.2326 0.2332
As 0.5715 0.2674 0.7332
As 0.7958 0.1896 0.4812
As 0.7958 0.3104 0.9812
Pb 0.2523 0.0276 0.8814
Pb 0.2523 0.4724 0.3814
Pb 0.7477 0.5276 0.6186
Pb 0.7477 0.9724 0.1186
O 0.0593 0.2186 0.4277
O 0.0593 0.2814 0.9277
O 0.0796 0.6348 0.9142
O 0.0796 0.8652 0.4142
O 0.1767 0.5841 0.2349
O 0.1767 0.9159 0.7349
O 0.2622 0.5883 0.7590
O 0.2622 0.9117 0.2590
O 0.3434 0.6195 0.5182
O 0.3434 0.8805 0.0182
O 0.3449 0.2479 0.2993
O 0.3449 0.2521 0.7993
O 0.4134 0.1628 0.1329
O 0.4134 0.3372 0.6329
O 0.4236 0.5484 0.0728
O 0.4236 0.9516 0.5728
O 0.5764 0.0484 0.4272
O 0.5764 0.4516 0.9272
O 0.5866 0.6628 0.3671
O 0.5866 0.8372 0.8671
O 0.6551 0.7479 0.2007
O 0.6551 0.7521 0.7007
O 0.6566 0.1195 0.9818
O 0.6566 0.3805 0.4818
O 0.7378 0.0883 0.7410
O 0.7378 0.4117 0.2410
O 0.8233 0.0841 0.2651
O 0.8233 0.4159 0.7651
O 0.9204 0.1348 0.5858
O 0.9204 0.3652 0.0858
O 0.9407 0.7186 0.0723
O 0.9407 0.7814 0.5723

Most intense lines, 10 to 90 degrees two-theta, in order of rising 2θ:
Position (°2θ)  I (rel.)
11.9  30
19.2  29
20.8  30
24.2  72
27.7  41
28.6  100
31.2  74
32.2  24
34.9  24
41.1  20

Calculated XRD peak list of Li2CoCuO4 for Cu Kα (λ = 1.5418 Å), from a GGA+U-relaxed structure.

Crystal structure
abc: 4.0787 4.0787 8.5388
angles: 90.00 90.00 90.29
Sites, in units of the cell vectors:
Li 0.0000 0.0000 0.0000
Li 0.0000 0.5000 0.7487
Li 0.5000 0.0000 0.2513
Li 0.5000 0.5000 0.5000
Co 0.0000 0.5000 0.2497
Co 0.5000 0.0000 0.7503
Cu 0.0000 0.0000 0.5000
Cu 0.5000 0.5000 0.0000
O 0.0000 0.0000 0.2757
O 0.0000 0.0000 0.7243
O 0.0000 0.5000 0.0145
O 0.0000 0.5000 0.4859
O 0.5000 0.0000 0.5141
O 0.5000 0.0000 0.9855
O 0.5000 0.5000 0.2245
O 0.5000 0.5000 0.7755

Most intense lines, 10 to 90 degrees two-theta, in order of rising 2θ:
Position (°2θ)  I (rel.)
24.2  100
37.6  11
37.7  11
38.6  16
42.3  25
44.4  46
51.1  12
51.3  12
58.6  11
63.0  26

Calculated XRD peak list of Li3V3B2O10 for Cu Kα (λ = 1.5418 Å), from a GGA+U-relaxed structure.

Crystal structure
abc: 9.1192 3.1179 12.2795
angles: 90.00 90.03 90.00
Sites, in units of the cell vectors:
Li 0.0000 0.0000 0.0000
Li 0.0290 0.5000 0.4831
Li 0.2712 0.5000 0.3741
Li 0.5330 0.5000 0.9934
Li 0.7648 0.5000 0.6019
Li 0.8014 0.5000 0.1058
V 0.0153 0.0000 0.6989
V 0.0226 0.0000 0.2773
V 0.2596 0.5000 0.8813
V 0.5189 0.0000 0.4890
V 0.5278 0.0000 0.1993
V 0.5318 0.0000 0.7767
B 0.2410 0.5000 0.1313
B 0.3006 0.5000 0.6318
B 0.7396 0.5000 0.3493
B 0.8089 0.5000 0.8545
O 0.1273 0.0000 0.4031
O 0.1333 0.0000 0.8291
O 0.1496 0.5000 0.6352
O 0.1603 0.5000 0.2266
O 0.1792 0.5000 0.0309
O 0.3771 0.5000 0.5334
O 0.3782 0.5000 0.7298
O 0.3964 0.5000 0.1472
O 0.4057 0.0000 0.9062
O 0.4462 0.0000 0.3515
O 0.5991 0.0000 0.6256
O 0.6219 0.0000 0.0788
O 0.6533 0.5000 0.8356
O 0.6582 0.5000 0.2533
O 0.6623 0.5000 0.4486
O 0.8678 0.5000 0.9518
O 0.8894 0.5000 0.3480
O 0.8916 0.5000 0.7552
O 0.9162 0.0000 0.5782
O 0.9248 0.0000 0.1543

Most intense lines, 10 to 90 degrees two-theta, in order of rising 2θ:
Position (°2θ)  I (rel.)
14.4  47
19.5  42
20.8  24
23.8  59
24.3  29
34.9  100
35.2  26
44.1  24
47.3  30
61.5  31

Calculated XRD peak list of Li3Mn2CoO6 for Cu Kα (λ = 1.5418 Å), from a GGA+U-relaxed structure.

Crystal structure
abc: 2.8642 8.2516 9.8211
angles: 95.26 90.53 99.66
Sites, in units of the cell vectors:
Li 0.0771 0.1575 0.2445
Li 0.2472 0.4940 0.7462
Li 0.4167 0.8419 0.2553
Li 0.5833 0.1581 0.7447
Li 0.7528 0.5060 0.2538
Li 0.9229 0.8425 0.7555
Mn 0.1658 0.3283 0.9942
Mn 0.3360 0.6719 0.5046
Mn 0.6640 0.3281 0.4954
Mn 0.8342 0.6717 0.0058
Co 0.0000 0.0000 0.5000
Co 0.5000 0.0000 0.0000
O 0.0665 0.0711 0.8778
O 0.1319 0.2564 0.6123
O 0.1982 0.4048 0.3808
O 0.2963 0.5896 0.1173
O 0.3736 0.7553 0.8936
O 0.4693 0.9291 0.6125
O 0.5307 0.0709 0.3875
O 0.6264 0.2447 0.1064
O 0.7037 0.4104 0.8827
O 0.8018 0.5952 0.6192
O 0.8681 0.7436 0.3877
O 0.9335 0.9289 0.1222

Most intense lines, 10 to 90 degrees two-theta, in order of rising 2θ:
Position (°2θ)  I (rel.)
18.1  100
33.2  22
36.1  12
36.4  12
37.1  9
39.6  35
44.1  25
44.6  24
61.0  16
65.2  10